Entry 1:
This entry pairs a crystal structure of LuVO4 with its simulated XRD peak list. Radiation: Cu Kα (λ = 1.5418 Å). Structure: a DFT-relaxed cell (GGA+U, the Materials Project).
No peak broadening, texture or thermal motion is included.

Atomic structure:
a b c (Å): 6.548 6.548 4.981
angles (deg): 111.96 111.96 114.95
Positions (direct):
Lu 0.126 0.874 0.750
Lu 0.874 0.126 0.250
V 0.380 0.620 0.250
V 0.620 0.380 0.750
O 0.147 0.557 0.360
O 0.197 0.282 0.832
O 0.282 0.197 0.332
O 0.443 0.853 0.140
O 0.557 0.147 0.860
O 0.718 0.803 0.668
O 0.803 0.718 0.168
O 0.853 0.443 0.640

Peak list (8 most intense, 10° ≤ 2θ ≤ 90°, low angle first)
- 2θ = 19.3°, I 34
- 2θ = 19.6°, I 36
- 2θ = 29.8°, I 93
- 2θ = 30.1°, I 100
- 2θ = 32.4°, I 27
- 2θ = 35.5°, I 19
- 2θ = 48.8°, I 27
- 2θ = 49.3°, I 27

***

Entry 2:
This entry pairs a crystal structure of SrMgNiO3 with its simulated XRD peak list. Radiation: Cu Kα (λ = 1.5418 Å). Structure: a DFT-relaxed cell (GGA+U, the Materials Project).
No peak broadening, texture or thermal motion is included.

Atomic structure:
a b c (Å): 11.181 4.181 3.337
angles (deg): 90.00 107.15 90.00
Positions (direct):
Sr 0.000 0.000 0.000
Sr 0.500 0.500 0.000
Mg 0.309 0.000 0.314
Mg 0.809 0.500 0.314
Ni 0.185 0.500 0.691
Ni 0.685 0.000 0.691
O 0.199 0.000 0.708
O 0.306 0.500 0.314
O 0.499 0.000 0.476
O 0.699 0.500 0.708
O 0.806 0.000 0.314
O 0.999 0.500 0.476

Peak list (8 most intense, 10° ≤ 2θ ≤ 90°, low angle first)
- 2θ = 22.8°, I 37
- 2θ = 33.0°, I 69
- 2θ = 34.4°, I 100
- 2θ = 36.8°, I 53
- 2θ = 37.0°, I 53
- 2θ = 38.4°, I 29
- 2θ = 43.3°, I 50
- 2θ = 58.2°, I 53

***

Entry 3:
This entry pairs a crystal structure of Li3Co2O5 with its simulated XRD peak list. Radiation: Cu Kα (λ = 1.5418 Å). Structure: a DFT-relaxed cell (GGA+U, the Materials Project).
No peak broadening, texture or thermal motion is included.

Atomic structure:
a b c (Å): 2.993 5.121 12.292
angles (deg): 79.52 89.40 74.67
Positions (direct):
Li 0.000 0.000 0.000
Li 0.102 0.805 0.700
Li 0.304 0.392 0.099
Li 0.500 0.000 0.500
Li 0.696 0.608 0.901
Li 0.898 0.195 0.300
Co 0.200 0.602 0.399
Co 0.403 0.194 0.808
Co 0.597 0.806 0.192
Co 0.800 0.398 0.601
O 0.067 0.928 0.846
O 0.158 0.688 0.545
O 0.277 0.520 0.253
O 0.346 0.303 0.936
O 0.431 0.120 0.659
O 0.569 0.880 0.341
O 0.654 0.697 0.064
O 0.723 0.480 0.747
O 0.842 0.312 0.455
O 0.933 0.072 0.154

Peak list (8 most intense, 10° ≤ 2θ ≤ 90°, low angle first)
- 2θ = 18.4°, I 100
- 2θ = 35.0°, I 18
- 2θ = 35.9°, I 14
- 2θ = 37.2°, I 14
- 2θ = 42.0°, I 34
- 2θ = 43.5°, I 30
- 2θ = 45.5°, I 25
- 2θ = 62.1°, I 17

***

Entry 4:
This entry pairs a crystal structure of MgCo4P8O28 with its simulated XRD peak list. Radiation: Cu Kα (λ = 1.5418 Å). Structure: a DFT-relaxed cell (GGA+U, the Materials Project).
No peak broadening, texture or thermal motion is included.

Atomic structure:
a b c (Å): 7.009 8.324 9.835
angles (deg): 95.70 109.72 90.96
Positions (direct):
Mg 0.000 0.000 0.000
Co 0.087 0.119 0.734
Co 0.136 0.980 0.322
Co 0.540 0.573 0.299
Co 0.542 0.529 0.789
P 0.287 0.402 0.978
P 0.304 0.696 0.512
P 0.354 0.862 0.100
P 0.356 0.219 0.575
P 0.736 0.348 0.569
P 0.742 0.752 0.091
P 0.882 0.296 0.958
P 0.910 0.819 0.503
O 0.052 0.434 0.965
O 0.071 0.681 0.509
O 0.201 0.863 0.947
O 0.210 0.190 0.417
O 0.281 0.227 0.908
O 0.301 0.010 0.190
O 0.316 0.091 0.666
O 0.328 0.860 0.455
O 0.337 0.557 0.411
O 0.343 0.391 0.643
O 0.346 0.533 0.897
O 0.350 0.713 0.178
O 0.412 0.406 0.140
O 0.437 0.702 0.675
O 0.578 0.888 0.094
O 0.580 0.202 0.569
O 0.677 0.373 0.916
O 0.686 0.400 0.418
O 0.703 0.729 0.456
O 0.715 0.695 0.931
O 0.733 0.485 0.689
O 0.741 0.626 0.190
O 0.891 0.151 0.844
O 0.924 0.940 0.398
O 0.932 0.217 0.097
O 0.942 0.863 0.138
O 0.943 0.271 0.609
O 0.958 0.911 0.657

Peak list (8 most intense, 10° ≤ 2θ ≤ 90°, low angle first)
- 2θ = 13.6°, I 70
- 2θ = 15.2°, I 40
- 2θ = 16.7°, I 89
- 2θ = 17.6°, I 100
- 2θ = 27.4°, I 65
- 2θ = 27.5°, I 25
- 2θ = 30.3°, I 21
- 2θ = 30.6°, I 41

***

Entry 5:
This entry pairs a crystal structure of Co3P2O14 with its simulated XRD peak list. Radiation: Cu Kα (λ = 1.5418 Å). Structure: a DFT-relaxed cell (GGA+U, the Materials Project).
No peak broadening, texture or thermal motion is included.

Atomic structure:
a b c (Å): 7.783 7.783 7.783
angles (deg): 132.91 132.91 68.80
Positions (direct):
Co 0.000 0.000 0.000
Co 0.288 0.288 0.000
Co 0.712 0.712 0.000
P 0.250 0.750 0.500
P 0.750 0.250 0.500
O 0.021 0.312 0.686
O 0.153 0.229 0.382
O 0.158 0.158 0.000
O 0.229 0.847 0.076
O 0.312 0.625 0.291
O 0.335 0.021 0.709
O 0.375 0.665 0.686
O 0.625 0.335 0.314
O 0.665 0.979 0.291
O 0.688 0.375 0.709
O 0.771 0.153 0.924
O 0.842 0.842 0.000
O 0.847 0.771 0.618
O 0.979 0.688 0.314

Peak list (8 most intense, 10° ≤ 2θ ≤ 90°, low angle first)
- 2θ = 13.8°, I 69
- 2θ = 15.8°, I 30
- 2θ = 20.2°, I 36
- 2θ = 25.3°, I 100
- 2θ = 27.8°, I 26
- 2θ = 28.7°, I 70
- 2θ = 32.0°, I 52
- 2θ = 50.3°, I 21

***

Entry 6:
This entry pairs a crystal structure of CsK2Mn3P4ClO14 with its simulated XRD peak list. Radiation: Cu Kα (λ = 1.5418 Å). Structure: a DFT-relaxed cell (GGA+U, the Materials Project).
No peak broadening, texture or thermal motion is included.

Atomic structure:
a b c (Å): 7.748 5.460 19.327
angles (deg): 90.00 100.88 90.00
Positions (direct):
Cs 0.000 0.205 0.250
Cs 0.000 0.795 0.750
K 0.415 0.221 0.086
K 0.415 0.779 0.586
K 0.585 0.221 0.414
K 0.585 0.779 0.914
Mn 0.109 0.215 0.461
Mn 0.109 0.785 0.961
Mn 0.500 0.282 0.750
Mn 0.500 0.718 0.250
Mn 0.891 0.215 0.039
Mn 0.891 0.785 0.539
P 0.095 0.310 0.626
P 0.095 0.690 0.126
P 0.287 0.280 0.900
P 0.287 0.720 0.400
P 0.713 0.280 0.600
P 0.713 0.720 0.100
P 0.905 0.310 0.874
P 0.905 0.690 0.374
Cl 0.500 0.220 0.250
Cl 0.500 0.780 0.750
O 0.092 0.117 0.566
O 0.092 0.279 0.847
O 0.092 0.721 0.347
O 0.092 0.883 0.066
O 0.097 0.429 0.097
O 0.097 0.571 0.597
O 0.230 0.259 0.691
O 0.230 0.741 0.191
O 0.289 0.500 0.450
O 0.289 0.500 0.950
O 0.298 0.036 0.941
O 0.298 0.964 0.441
O 0.421 0.298 0.853
O 0.421 0.702 0.353
O 0.579 0.298 0.647
O 0.579 0.702 0.147
O 0.702 0.036 0.559
O 0.702 0.964 0.059
O 0.711 0.500 0.050
O 0.711 0.500 0.550
O 0.770 0.259 0.809
O 0.770 0.741 0.309
O 0.903 0.429 0.403
O 0.903 0.571 0.903
O 0.908 0.117 0.934
O 0.908 0.279 0.653
O 0.908 0.721 0.153
O 0.908 0.883 0.434

Peak list (8 most intense, 10° ≤ 2θ ≤ 90°, low angle first)
- 2θ = 11.6°, I 31
- 2θ = 25.8°, I 30
- 2θ = 26.8°, I 19
- 2θ = 28.2°, I 100
- 2θ = 28.6°, I 52
- 2θ = 29.2°, I 51
- 2θ = 32.8°, I 43
- 2θ = 33.2°, I 25

***

Copy entry 4 word for word.
This entry pairs a crystal structure of MgCo4P8O28 with its simulated XRD peak list. Radiation: Cu Kα (λ = 1.5418 Å). Structure: a DFT-relaxed cell (GGA+U, the Materials Project).
No peak broadening, texture or thermal motion is included.

Atomic structure:
a b c (Å): 7.009 8.324 9.835
angles (deg): 95.70 109.72 90.96
Positions (direct):
Mg 0.000 0.000 0.000
Co 0.087 0.119 0.734
Co 0.136 0.980 0.322
Co 0.540 0.573 0.299
Co 0.542 0.529 0.789
P 0.287 0.402 0.978
P 0.304 0.696 0.512
P 0.354 0.862 0.100
P 0.356 0.219 0.575
P 0.736 0.348 0.569
P 0.742 0.752 0.091
P 0.882 0.296 0.958
P 0.910 0.819 0.503
O 0.052 0.434 0.965
O 0.071 0.681 0.509
O 0.201 0.863 0.947
O 0.210 0.190 0.417
O 0.281 0.227 0.908
O 0.301 0.010 0.190
O 0.316 0.091 0.666
O 0.328 0.860 0.455
O 0.337 0.557 0.411
O 0.343 0.391 0.643
O 0.346 0.533 0.897
O 0.350 0.713 0.178
O 0.412 0.406 0.140
O 0.437 0.702 0.675
O 0.578 0.888 0.094
O 0.580 0.202 0.569
O 0.677 0.373 0.916
O 0.686 0.400 0.418
O 0.703 0.729 0.456
O 0.715 0.695 0.931
O 0.733 0.485 0.689
O 0.741 0.626 0.190
O 0.891 0.151 0.844
O 0.924 0.940 0.398
O 0.932 0.217 0.097
O 0.942 0.863 0.138
O 0.943 0.271 0.609
O 0.958 0.911 0.657

Peak list (8 most intense, 10° ≤ 2θ ≤ 90°, low angle first)
- 2θ = 13.6°, I 70
- 2θ = 15.2°, I 40
- 2θ = 16.7°, I 89
- 2θ = 17.6°, I 100
- 2θ = 27.4°, I 65
- 2θ = 27.5°, I 25
- 2θ = 30.3°, I 21
- 2θ = 30.6°, I 41